Record 1
Starting from a GGA-PBE-relaxed structure, the powder X-ray diffraction pattern of BaNaLi3B6O12 was calculated for Cu Kα (λ = 1.5418 Å).

Main lines, by angle (15° ≤ 2θ ≤ 90°):
2theta  I_rel
18.6  40
23.3  100
23.4  35
28.6  96
34.0  54
34.3  37
35.5  30
37.6  44
40.3  37
50.5  33

Structure:
Cell: 8.3982 8.3982 8.3982 Å, 69.43 69.43 69.43°
Fractional coordinates of all 46 atoms:
Ba (0.1489, 0.1489, 0.1489)
Ba (0.8511, 0.8511, 0.8511)
Na (0.3339, 0.3339, 0.3339)
Na (0.6661, 0.6661, 0.6661)
Li (0.2148, 0.4039, 0.7222)
Li (0.2778, 0.7852, 0.5961)
Li (0.4039, 0.7222, 0.2148)
Li (0.5961, 0.2778, 0.7852)
Li (0.7222, 0.2148, 0.4039)
Li (0.7852, 0.5961, 0.2778)
B (0.0675, 0.6927, 0.4846)
B (0.1351, 0.6870, 0.1656)
B (0.1656, 0.1351, 0.6870)
B (0.3073, 0.5154, 0.9325)
B (0.3130, 0.8344, 0.8649)
B (0.4846, 0.0675, 0.6928)
B (0.5154, 0.9325, 0.3073)
B (0.6870, 0.1656, 0.1351)
B (0.6928, 0.4846, 0.0675)
B (0.8344, 0.8649, 0.3130)
B (0.8649, 0.3130, 0.8344)
B (0.9325, 0.3073, 0.5154)
O (0.0545, 0.2412, 0.8150)
O (0.0978, 0.1945, 0.5283)
O (0.1171, 0.6527, 0.6335)
O (0.1795, 0.6254, 0.3409)
O (0.1850, 0.9455, 0.7588)
O (0.1945, 0.5283, 0.0978)
O (0.2412, 0.8150, 0.0545)
O (0.3409, 0.1795, 0.6254)
O (0.3473, 0.3665, 0.8829)
O (0.3665, 0.8829, 0.3473)
O (0.3746, 0.6591, 0.8205)
O (0.4717, 0.9022, 0.8055)
O (0.5283, 0.0978, 0.1945)
O (0.6254, 0.3409, 0.1795)
O (0.6335, 0.1171, 0.6527)
O (0.6527, 0.6335, 0.1171)
O (0.6591, 0.8205, 0.3746)
O (0.7588, 0.1850, 0.9455)
O (0.8055, 0.4717, 0.9022)
O (0.8150, 0.0545, 0.2412)
O (0.8205, 0.3746, 0.6591)
O (0.8829, 0.3473, 0.3665)
O (0.9022, 0.8055, 0.4717)
O (0.9455, 0.7588, 0.1850)

***

Record 2
Starting from a GGA-PBE-relaxed structure, the powder X-ray diffraction pattern of Tm2In8Pt was calculated for Cu Kα (λ = 1.5418 Å).

Main lines, by angle (15° ≤ 2θ ≤ 90°):
2theta  I_rel
19.0  12
30.8  17
35.2  100
37.4  10
38.5  50
40.5  9
54.7  13
55.5  17
67.4  29
68.5  9

Structure:
Cell: 4.6803 4.6803 12.0367 Å, 90.00 90.00 90.00°
Fractional coordinates of all 11 atoms:
Tm (0.0000, 0.0000, 0.1897)
Tm (0.0000, 0.0000, 0.8103)
In (0.0000, 0.5000, 0.0000)
In (0.0000, 0.5000, 0.3719)
In (0.0000, 0.5000, 0.6281)
In (0.5000, 0.0000, 0.0000)
In (0.5000, 0.0000, 0.3719)
In (0.5000, 0.0000, 0.6281)
In (0.5000, 0.5000, 0.1910)
In (0.5000, 0.5000, 0.8090)
Pt (0.0000, 0.0000, 0.5000)

***

Record 3
Starting from a GGA-PBE-relaxed structure, the powder X-ray diffraction pattern of Tb6Pm5Pu was calculated for Cu Kα (λ = 1.5418 Å).

Main lines, by angle (15° ≤ 2θ ≤ 90°):
2theta  I_rel
30.5  100
35.4  34
35.5  17
50.9  12
51.0  24
60.5  29
60.7  14
63.6  12
82.9  6
83.1  12

Structure:
Cell: 8.0338 8.0338 10.1055 Å, 90.00 90.00 143.20°
Fractional coordinates of all 12 atoms:
Tb (0.0000, 0.0000, 0.2463)
Tb (0.0000, 0.0000, 0.7537)
Tb (0.3351, 0.6649, 0.2464)
Tb (0.3351, 0.6649, 0.7536)
Tb (0.6649, 0.3351, 0.2464)
Tb (0.6649, 0.3351, 0.7536)
Pm (0.1638, 0.8362, 0.0000)
Pm (0.1669, 0.8331, 0.5000)
Pm (0.5000, 0.5000, 0.5000)
Pm (0.8331, 0.1669, 0.5000)
Pm (0.8362, 0.1638, 0.0000)
Pu (0.5000, 0.5000, 0.0000)